This entry pairs a crystal structure of Cs2AcMn2Se4 with its computed XRD peak list. Radiation: Cu Kα (weighted mean of Kα1 and Kα2). Structure: DFT lattice parameters and positions (GGA-PBE).

Top 10 peaks for 5° ≤ 2θ ≤ 70°, low angle first:
d (Å), Position (°2θ), I (rel.)
8.122, 10.9, 35
4.245, 20.9, 35
4.067, 21.9, 34
3.377, 26.4, 35
3.106, 28.7, 45
3.083, 29.0, 100
2.884, 31.0, 38
2.638, 34.0, 34
2.209, 40.9, 30
1.910, 47.6, 34

Cell and atoms:
Cell lengths 8.5228, 8.5228, 8.6403 Å; angles 109.23, 109.23, 30.04 degrees
Fractional coordinates of all 9 atoms:
1 Cs 0.1335 0.1335 0.0543
2 Cs 0.8665 0.8665 0.9457
3 Ac 0.0000 0.0000 0.5000
4 Mn 0.3185 0.3185 0.5153
5 Mn 0.6815 0.6815 0.4847
6 Se 0.2025 0.2025 0.6559
7 Se 0.4704 0.4704 0.7294
8 Se 0.5296 0.5296 0.2706
9 Se 0.7975 0.7975 0.3441